Computed X-ray diffraction stick pattern of TeP3O9 for a wavelength of 1.5418 Å, from DFT lattice parameters and positions (GGA-PBE).

Structure:
```
data_TeP3O9
_space_group_name_H-M_alt 'C 1 c 1'
_space_group_IT_number 9
_space_group_name_Hall 'C -2yc'
_cell_length_a 14.024
_cell_length_b 7.156
_cell_length_c 9.811
_cell_angle_alpha 90.00
_cell_angle_beta 127.71
_cell_angle_gamma 90.00
loop_
_atom_site_label
_atom_site_type_symbol
_atom_site_fract_x
_atom_site_fract_y
_atom_site_fract_z
_atom_site_occupancy
Te1 Te 0.000 0.243 0.000 1
P1 P 0.150 0.439 0.845 1
P2 P 0.241 0.115 0.772 1
P3 P 0.356 0.388 0.680 1
O1 O 0.050 0.362 0.846 1
O2 O 0.107 0.465 0.179 1
O3 O 0.119 0.112 0.602 1
O4 O 0.227 0.412 0.497 1
O5 O 0.247 0.285 0.893 1
O6 O 0.299 0.052 0.385 1
O7 O 0.341 0.201 0.750 1
O8 O 0.374 0.446 0.290 1
O9 O 0.454 0.363 0.660 1
```

The 10 most intense peaks (2θ from 10° to 80°), sorted by position:
15.36 deg, intensity 24, (1 1 -1)
18.20 deg, intensity 19, (2 0 -2)
21.49 deg, intensity 100, (1 1 1)
22.95 deg, intensity 29, (3 1 -1)
24.18 deg, intensity 24, (3 1 -2)
25.62 deg, intensity 19, (4 0 -2)
29.71 deg, intensity 18, (2 2 0)
30.20 deg, intensity 15, (3 1 -3)
31.00 deg, intensity 12, (2 2 -2)
36.86 deg, intensity 14, (4 0 -4)

***

Computed X-ray diffraction stick pattern of TiTePO2 for a wavelength of 1.5418 Å, from DFT lattice parameters and positions (GGA-PBE).

Structure:
```
data_TiTePO2
_space_group_name_H-M_alt 'P 4/m m m'
_space_group_IT_number 123
_space_group_name_Hall '-P 4 2'
_cell_length_a 3.799
_cell_length_b 3.799
_cell_length_c 5.746
_cell_angle_alpha 90.00
_cell_angle_beta 90.00
_cell_angle_gamma 90.00
loop_
_atom_site_label
_atom_site_type_symbol
_atom_site_fract_x
_atom_site_fract_y
_atom_site_fract_z
_atom_site_occupancy
Ti1 Ti 0.000 0.000 0.000 1
Te1 Te 0.500 0.500 0.500 1
P1 P 0.000 0.000 0.500 1
O1 O 0.000 0.500 0.000 1
```

The 10 most intense peaks (2θ from 10° to 80°), sorted by position:
15.42 deg, intensity 27, (0 0 1)
28.16 deg, intensity 100, (1 0 1)
31.13 deg, intensity 55, (0 0 2)
33.36 deg, intensity 46, (1 1 0)
36.94 deg, intensity 48, (1 1 1)
46.27 deg, intensity 37, (1 1 2)
47.89 deg, intensity 30, (2 0 0)
53.59 deg, intensity 16, (1 0 3)
56.49 deg, intensity 28, (2 1 1)
58.23 deg, intensity 33, (2 0 2)

***

Computed X-ray diffraction stick pattern of TiTeP3O12 for a wavelength of 1.5418 Å, from DFT lattice parameters and positions (GGA-PBE).

Structure:
```
data_TiTeP3O12
_space_group_name_H-M_alt 'R 3 c'
_space_group_IT_number 161
_space_group_name_Hall 'R 3 -2"c'
_cell_length_a 8.6827
_cell_length_b 8.6827
_cell_length_c 22.5645
_cell_angle_alpha 90.00
_cell_angle_beta 90.00
_cell_angle_gamma 120.00
loop_
_atom_site_label
_atom_site_type_symbol
_atom_site_fract_x
_atom_site_fract_y
_atom_site_fract_z
_atom_site_occupancy
Ti1 Ti 0.0000 0.0000 0.0000 1
Te1 Te 0.0000 0.0000 0.2115 1
P1 P 0.0034 0.2892 0.1063 1
O1 O 0.0150 0.1886 0.7678 1
O2 O 0.0276 0.1973 0.0526 1
O3 O 0.1624 0.4450 0.8301 1
O4 O 0.1719 0.4681 0.1181 1
```

The 10 most intense peaks (2θ from 10° to 80°), sorted by position:
14.15 deg, intensity 89, (0 1 2)
19.67 deg, intensity 100, (1 0 4)
20.46 deg, intensity 60, (1 1 0)
23.66 deg, intensity 85, (1 1 3)
28.53 deg, intensity 69, (0 2 4)
31.47 deg, intensity 60, (1 1 6)
35.36 deg, intensity 25, (2 1 4)
35.83 deg, intensity 26, (3 0 0)
48.42 deg, intensity 24, (2 2 6)
51.73 deg, intensity 25, (2 1 10)

***

Computed X-ray diffraction stick pattern of ThPO for a wavelength of 1.5418 Å, from DFT lattice parameters and positions (GGA-PBE).

Structure:
```
data_ThPO
_space_group_name_H-M_alt 'P -6 m 2'
_space_group_IT_number 187
_space_group_name_Hall 'P -6 2'
_cell_length_a 3.9576
_cell_length_b 3.9576
_cell_length_c 4.3536
_cell_angle_alpha 90.00
_cell_angle_beta 90.00
_cell_angle_gamma 120.00
loop_
_atom_site_label
_atom_site_type_symbol
_atom_site_fract_x
_atom_site_fract_y
_atom_site_fract_z
_atom_site_occupancy
Th1 Th 0.0000 0.0000 0.0000 1
P1 P 0.6667 0.3333 0.5000 1
O1 O 0.3333 0.6667 0.0000 1
```

The 10 most intense peaks (2θ from 10° to 80°), sorted by position:
20.40 deg, intensity 44, (0 0 1)
26.00 deg, intensity 67, (1 0 0)
33.27 deg, intensity 100, (1 0 1)
41.48 deg, intensity 12, (0 0 2)
45.86 deg, intensity 27, (1 1 0)
49.61 deg, intensity 25, (1 0 2)
50.67 deg, intensity 25, (1 1 1)
57.82 deg, intensity 21, (2 0 1)
63.54 deg, intensity 21, (1 1 2)
76.76 deg, intensity 19, (2 1 1)

***

Computed X-ray diffraction stick pattern of TiPO4 for a wavelength of 1.5418 Å, from DFT lattice parameters and positions (GGA-PBE).

Structure:
```
data_TiPO4
_space_group_name_H-M_alt 'R -3 c'
_space_group_IT_number 167
_space_group_name_Hall '-R 3 2"c'
_cell_length_a 8.7272
_cell_length_b 8.7272
_cell_length_c 20.5940
_cell_angle_alpha 90.00
_cell_angle_beta 90.00
_cell_angle_gamma 120.00
loop_
_atom_site_label
_atom_site_type_symbol
_atom_site_fract_x
_atom_site_fract_y
_atom_site_fract_z
_atom_site_occupancy
Ti1 Ti 0.0000 0.0000 0.0000 1
Ti2 Ti 0.0000 0.0000 0.1421 1
P1 P 0.0000 0.2922 0.2500 1
O1 O 0.0099 0.1985 0.3112 1
O2 O 0.0173 0.1854 0.9260 1
```

The 10 most intense peaks (2θ from 10° to 80°), sorted by position:
20.35 deg, intensity 53, (1 1 0)
24.17 deg, intensity 100, (1 1 3)
25.10 deg, intensity 15, (2 0 2)
31.62 deg, intensity 16, (2 1 1)
33.21 deg, intensity 49, (1 1 6)
35.64 deg, intensity 26, (3 0 0)
47.55 deg, intensity 25, (1 2 8)
49.50 deg, intensity 18, (2 2 6)
55.73 deg, intensity 18, (4 1 0)
56.62 deg, intensity 13, (3 1 8)